# BiPPdAuN
Computed PXRD pattern, CuKα. Input: a crystal structure in Alexandria, relaxed with PBE.
Neutral-atom scattering factors, no anomalous dispersion.

Atomic structure:
Cell lengths 3.586, 4.359, 7.145 Å; angles 73.42, 89.89, 65.88 degrees
Space group P1 (No. 1)
Inequivalent atoms, fractional coordinates:
Bi1 0.000 0.000 0.000
P1 0.531 0.935 0.454
Pd1 0.866 0.267 0.516
Au1 0.228 0.547 0.754
N1 0.600 0.797 0.263

Top 10 peaks for 2θ from 5° to 70°, by angle:
(0 0 1), d = 6.789 Å, 13.04 deg, rel. 100; (1 1 0), d = 3.240 Å, 27.53 deg, rel. 79; (0 1 2), d = 3.041 Å, 29.37 deg, rel. 68; (0 1 -1), d = 2.936 Å, 30.44 deg, rel. 52; (1 0 1), d = 2.788 Å, 32.10 deg, rel. 44; (1 1 -1), d = 2.777 Å, 32.23 deg, rel. 44; (1 0 -2), d = 2.518 Å, 35.66 deg, rel. 69; (0 1 -2), d = 2.206 Å, 40.91 deg, rel. 60; (-1 1 1), d = 2.132 Å, 42.39 deg, rel. 37; (0 2 1), d = 1.987 Å, 45.66 deg, rel. 42

=====

# BaPr2TmO5
Computed PXRD pattern, CuKα. Input: a crystal structure in Alexandria, relaxed with PBE.
Neutral-atom scattering factors, no anomalous dispersion.

Atomic structure:
Cell lengths 4.201, 6.117, 12.042 Å; angles 90.00, 90.00, 90.00 degrees
Space group Immm (No. 71)
Inequivalent atoms, fractional coordinates:
Ba1 0.000 0.000 0.000
Pr1 0.000 0.500 0.216
Tm1 0.000 0.000 0.500
O1 0.000 0.237 0.357
O2 0.000 0.500 0.000

Top 10 peaks for 2θ from 5° to 70°, by angle:
(0 1 1), d = 5.454 Å, 16.25 deg, rel. 9; (0 2 0), d = 3.058 Å, 29.20 deg, rel. 22; (1 1 2), d = 3.003 Å, 29.75 deg, rel. 100; (0 2 4), d = 2.145 Å, 42.12 deg, rel. 18; (2 0 0), d = 2.101 Å, 43.06 deg, rel. 12; (1 3 2), d = 1.755 Å, 52.12 deg, rel. 18; (1 1 6), d = 1.736 Å, 52.71 deg, rel. 8; (2 2 0), d = 1.732 Å, 52.88 deg, rel. 9; (2 0 4), d = 1.723 Å, 53.14 deg, rel. 8; (2 2 4), d = 1.501 Å, 61.81 deg, rel. 11

=====

# AgPb4
Computed PXRD pattern, CuKα. Input: a crystal structure in Alexandria, relaxed with PBE.
Neutral-atom scattering factors, no anomalous dispersion.

Atomic structure:
Cell lengths 6.930, 6.930, 6.162 Å; angles 90.00, 90.00, 90.00 degrees
Space group P4/nbm (No. 125, origin choice 2)
Inequivalent atoms, fractional coordinates:
Ag1 0.250 0.250 0.000
Pb1 0.078 0.578 0.261

Top 10 peaks for 2θ from 5° to 70°, by angle:
(2 0 0), d = 3.465 Å, 25.71 deg, rel. 14; (0 0 2), d = 3.081 Å, 28.98 deg, rel. 22; (2 1 1), d = 2.769 Å, 32.33 deg, rel. 100; (1 1 2), d = 2.608 Å, 34.38 deg, rel. 10; (2 0 2), d = 2.302 Å, 39.13 deg, rel. 27; (3 1 0), d = 2.191 Å, 41.19 deg, rel. 18; (2 1 3), d = 1.712 Å, 53.53 deg, rel. 24; (3 3 0), d = 1.633 Å, 56.32 deg, rel. 7; (4 1 1), d = 1.622 Å, 56.77 deg, rel. 26; (3 3 2), d = 1.443 Å, 64.58 deg, rel. 16

=====

# Ca3Si2As4
Computed PXRD pattern, CuKα. Input: a crystal structure in Alexandria, relaxed with PBE.
Neutral-atom scattering factors, no anomalous dispersion.

Atomic structure:
Cell lengths 7.323, 17.800, 7.186 Å; angles 90.00, 111.67, 90.00 degrees
Space group P2_1/c (No. 14)
Inequivalent atoms, fractional coordinates:
Ca1 0.219 0.184 0.013
Ca2 0.255 0.059 0.512
Ca3 0.262 0.560 0.502
Si1 0.212 0.630 0.030
Si2 0.316 0.740 0.921
As1 0.007 0.561 0.750
As2 0.037 0.687 0.222
As3 0.494 0.197 0.770
As4 0.500 0.068 0.257

Top 10 peaks for 2θ from 5° to 70°, by angle:
(1 4 -1), d = 3.575 Å, 24.91 deg, rel. 15; (1 4 1), d = 3.004 Å, 29.74 deg, rel. 100; (2 1 -2), d = 2.960 Å, 30.19 deg, rel. 6; (0 8 0), d = 2.225 Å, 40.54 deg, rel. 10; (3 4 -1), d = 2.139 Å, 42.24 deg, rel. 21; (1 4 -3), d = 2.108 Å, 42.91 deg, rel. 21; (2 0 2), d = 2.037 Å, 44.48 deg, rel. 14; (2 8 -2), d = 1.787 Å, 51.10 deg, rel. 11; (0 0 4), d = 1.670 Å, 54.99 deg, rel. 6; (4 8 0), d = 1.351 Å, 69.58 deg, rel. 6

=====

# Pr2H6PdRu
Computed PXRD pattern, CuKα. Input: a crystal structure in Alexandria, relaxed with PBE.
Neutral-atom scattering factors, no anomalous dispersion.

Atomic structure:
Cell lengths 7.556, 7.595, 5.341 Å; angles 90.00, 134.89, 90.00 degrees
Space group C2/m (No. 12)
Inequivalent atoms, fractional coordinates:
Pr1 0.000 0.250 0.000
H1 0.000 0.235 0.500
H2 0.235 0.000 0.971
H3 0.236 0.000 0.500
Pd1 0.000 0.500 0.500
Ru1 0.000 0.000 0.500

Top 10 peaks for 2θ from 5° to 70°, by angle:
(0 2 0), d = 3.791 Å, 23.47 deg, rel. 2; (2 0 -1), d = 3.778 Å, 23.55 deg, rel. 1; (2 0 0), d = 2.679 Å, 33.45 deg, rel. 100; (2 0 -2), d = 2.670 Å, 33.56 deg, rel. 20; (2 2 0), d = 2.186 Å, 41.30 deg, rel. 1; (0 4 0), d = 1.899 Å, 47.91 deg, rel. 8; (0 0 2), d = 1.890 Å, 48.14 deg, rel. 15; (2 0 1), d = 1.692 Å, 54.20 deg, rel. 1; (2 4 0), d = 1.547 Å, 59.76 deg, rel. 22; (4 2 -1), d = 1.544 Å, 59.91 deg, rel. 22

=====

# W2SeS3
Computed PXRD pattern, CuKα. Input: a crystal structure in Alexandria, relaxed with PBE.
Neutral-atom scattering factors, no anomalous dispersion.

Atomic structure:
Cell lengths 3.2213, 3.2213, 31.7700 Å; angles 90.00, 90.00, 120.00 degrees
Space group P3m1 (No. 156)
Inequivalent atoms, fractional coordinates:
W1 0.0000 0.0000 0.0000
W2 0.0000 0.0000 0.4404
W3 0.6667 0.3333 0.2186
W4 0.6667 0.3333 0.7707
Se1 0.0000 0.0000 0.7165
Se2 0.0000 0.0000 0.8249
S1 0.0000 0.0000 0.1695
S2 0.0000 0.0000 0.2678
S3 0.6667 0.3333 0.0491
S4 0.6667 0.3333 0.3913
S5 0.6667 0.3333 0.4896
S6 0.6667 0.3333 0.9508

Top 10 peaks for 2θ from 5° to 70°, by angle:
(0 0 2), d = 15.885 Å, 5.56 deg, rel. 38; (0 0 3), d = 10.590 Å, 8.35 deg, rel. 40; (0 0 4), d = 7.943 Å, 11.14 deg, rel. 100; (0 0 5), d = 6.354 Å, 13.94 deg, rel. 44; (1 0 0), d = 2.790 Å, 32.08 deg, rel. 21; (0 1 2), d = 2.748 Å, 32.59 deg, rel. 18; (1 0 4), d = 2.632 Å, 34.06 deg, rel. 12; (1 0 7), d = 2.377 Å, 37.86 deg, rel. 49; (0 1 11), d = 2.007 Å, 45.19 deg, rel. 38; (1 1 0), d = 1.611 Å, 57.19 deg, rel. 16

=====

# Na3Ga2Se4
Computed PXRD pattern, CuKα. Input: a crystal structure in Alexandria, relaxed with PBE.
Neutral-atom scattering factors, no anomalous dispersion.

Atomic structure:
Cell lengths 12.809, 10.463, 7.098 Å; angles 90.00, 90.22, 90.00 degrees
Space group C2/c (No. 15)
Inequivalent atoms, fractional coordinates:
Na1 0.000 0.113 0.250
Na2 0.123 0.371 0.567
Ga1 0.201 0.124 0.906
Se1 0.109 0.328 0.021
Se2 0.156 0.081 0.567

Top 10 peaks for 2θ from 5° to 70°, by angle:
(2 0 0), d = 6.405 Å, 13.83 deg, rel. 54; (1 1 -1), d = 5.342 Å, 16.60 deg, rel. 77; (3 1 0), d = 3.953 Å, 22.49 deg, rel. 47; (0 0 2), d = 3.549 Å, 25.09 deg, rel. 94; (2 2 -1), d = 3.522 Å, 25.28 deg, rel. 100; (0 4 0), d = 2.616 Å, 34.28 deg, rel. 48; (3 3 -1), d = 2.526 Å, 35.53 deg, rel. 49; (1 3 -2), d = 2.443 Å, 36.79 deg, rel. 51; (5 3 0), d = 2.065 Å, 43.85 deg, rel. 47; (1 5 1), d = 1.983 Å, 45.75 deg, rel. 49

=====

# SmY2Ge2Pt7
Computed PXRD pattern, CuKα. Input: a crystal structure in Alexandria, relaxed with PBE.
Neutral-atom scattering factors, no anomalous dispersion.

Atomic structure:
Cell lengths 5.814, 5.741, 14.104 Å; angles 90.00, 99.36, 90.00 degrees
Space group C2/m (No. 12)
Inequivalent atoms, fractional coordinates:
Sm1 0.000 0.000 0.000
Y1 0.125 0.000 0.359
Ge1 0.104 0.500 0.260
Pt1 0.000 0.500 0.000
Pt2 0.138 0.500 0.433
Pt3 0.186 0.250 0.841

Top 10 peaks for 2θ from 5° to 70°, by angle:
(0 0 1), d = 13.916 Å, 6.35 deg, rel. 100; (0 2 1), d = 2.813 Å, 31.81 deg, rel. 30; (0 2 2), d = 2.654 Å, 33.78 deg, rel. 32; (2 0 -3), d = 2.639 Å, 33.97 deg, rel. 37; (2 0 2), d = 2.512 Å, 35.75 deg, rel. 55; (0 2 3), d = 2.441 Å, 36.82 deg, rel. 65; (0 2 4), d = 2.214 Å, 40.75 deg, rel. 23; (2 0 -5), d = 2.182 Å, 41.37 deg, rel. 21; (2 2 -1), d = 2.042 Å, 44.37 deg, rel. 71; (2 2 0), d = 2.029 Å, 44.66 deg, rel. 20

=====

# NaDyTlGe
Computed PXRD pattern, CuKα. Input: a crystal structure in Alexandria, relaxed with PBE.
Neutral-atom scattering factors, no anomalous dispersion.

Atomic structure:
Cell lengths 7.330, 7.330, 7.330 Å; angles 90.00, 90.00, 90.00 degrees
Space group F-43m (No. 216)
Inequivalent atoms, fractional coordinates:
Na1 0.000 0.000 0.000
Dy1 0.000 0.000 0.500
Tl1 0.250 0.250 0.250
Ge1 0.250 0.250 0.750

Top 10 peaks for 2θ from 5° to 70°, by angle:
(1 1 1), d = 4.232 Å, 20.99 deg, rel. 37; (2 0 0), d = 3.665 Å, 24.28 deg, rel. 5; (2 2 0), d = 2.592 Å, 34.61 deg, rel. 100; (3 1 1), d = 2.210 Å, 40.83 deg, rel. 20; (2 2 2), d = 2.116 Å, 42.73 deg, rel. 1; (4 0 0), d = 1.833 Å, 49.75 deg, rel. 18; (3 3 1), d = 1.682 Å, 54.57 deg, rel. 9; (4 2 0), d = 1.639 Å, 56.11 deg, rel. 2; (4 2 2), d = 1.496 Å, 62.02 deg, rel. 37; (5 1 1), d = 1.411 Å, 66.25 deg, rel. 7

=====

# HoUAsN2
Computed PXRD pattern, CuKα. Input: a crystal structure in Alexandria, relaxed with PBE.
Neutral-atom scattering factors, no anomalous dispersion.

Atomic structure:
Cell lengths 3.811, 3.811, 11.831 Å; angles 90.00, 90.00, 90.00 degrees
Space group I4mm (No. 107)
Inequivalent atoms, fractional coordinates:
Ho1 0.000 0.000 0.000
U1 0.000 0.000 0.311
As1 0.000 0.000 0.662
N1 0.000 0.500 0.393

Top 10 peaks for 2θ from 5° to 70°, by angle:
(0 0 2), d = 5.916 Å, 14.98 deg, rel. 11; (1 0 1), d = 3.628 Å, 24.54 deg, rel. 21; (1 0 3), d = 2.741 Å, 32.67 deg, rel. 100; (1 1 0), d = 2.695 Å, 33.24 deg, rel. 44; (1 1 4), d = 1.992 Å, 45.53 deg, rel. 10; (0 0 6), d = 1.972 Å, 46.03 deg, rel. 8; (2 0 0), d = 1.906 Å, 47.72 deg, rel. 20; (1 1 6), d = 1.591 Å, 57.95 deg, rel. 19; (2 1 3), d = 1.565 Å, 59.04 deg, rel. 38; (2 0 6), d = 1.370 Å, 68.47 deg, rel. 10

=====

# ErAu12
Computed PXRD pattern, CuKα. Input: a crystal structure in Alexandria, relaxed with PBE.
Neutral-atom scattering factors, no anomalous dispersion.

Atomic structure:
Cell lengths 11.414, 11.414, 11.414 Å; angles 90.00, 90.00, 90.00 degrees
Space group Fm-3m (No. 225)
Inequivalent atoms, fractional coordinates:
Er1 0.000 0.000 0.000
Au1 0.000 0.170 0.330

Top 10 peaks for 2θ from 5° to 70°, by angle:
(1 1 1), d = 6.590 Å, 13.44 deg, rel. 40; (2 2 0), d = 4.035 Å, 22.03 deg, rel. 27; (3 1 1), d = 3.441 Å, 25.89 deg, rel. 100; (2 2 2), d = 3.295 Å, 27.06 deg, rel. 38; (4 2 2), d = 2.330 Å, 38.65 deg, rel. 37; (3 3 3), d = 2.197 Å, 41.09 deg, rel. 100; (5 3 1), d = 1.929 Å, 47.10 deg, rel. 45; (6 0 0), d = 1.902 Å, 47.81 deg, rel. 73; (5 5 3), d = 1.486 Å, 62.50 deg, rel. 26; (6 6 0), d = 1.345 Å, 69.94 deg, rel. 46

=====

# I
Computed PXRD pattern, CuKα. Input: a crystal structure in Alexandria, relaxed with PBE.
Neutral-atom scattering factors, no anomalous dispersion.

Atomic structure:
Cell lengths 7.989, 11.719, 9.264 Å; angles 90.00, 90.00, 90.00 degrees
Space group Cmce (No. 64)
Inequivalent atoms, fractional coordinates:
I1 0.000 0.060 0.250
I2 0.000 0.190 0.749

Top 10 peaks for 2θ from 5° to 70°, by angle:
(0 0 2), d = 4.632 Å, 19.16 deg, rel. 100; (2 0 0), d = 3.995 Å, 22.25 deg, rel. 70; (2 0 2), d = 3.025 Å, 29.53 deg, rel. 68; (0 4 1), d = 2.793 Å, 32.04 deg, rel. 55; (0 0 4), d = 2.316 Å, 38.89 deg, rel. 16; (2 4 1), d = 2.289 Å, 39.36 deg, rel. 62; (0 4 3), d = 2.125 Å, 42.53 deg, rel. 25; (2 0 4), d = 2.004 Å, 45.26 deg, rel. 21; (2 4 3), d = 1.876 Å, 48.52 deg, rel. 34; (4 4 1), d = 1.625 Å, 56.65 deg, rel. 21